For Li2TcAg, a DFT-relaxed cell (PBE, Alexandria) gives the calculated X-ray diffraction stick pattern in this record (Cu Kα (weighted mean of Kα1 and Kα2)).
Kinematic intensities with the Lorentz-polarization factor, no thermal factor.

Structural model:
a = 2.6376 Å, b = 2.6376 Å, c = 9.1339 Å
α = 90.00°, β = 90.00°, γ = 107.60°
Sites, in units of the cell vectors:
Li 0.0000 0.0000 0.2438
Li 0.0000 0.0000 0.7562
Tc 0.5000 0.5000 0.0000
Ag 0.5000 0.5000 0.5000

Principal peaks in the range 10 to 80 degrees two-theta, low angle first:
2θ (°), I (rel.)
19.44, 100.0
35.71, 42.6
39.46, 19.4
40.98, 69.6
42.47, 15.7
47.11, 19.0
54.27, 24.5
59.35, 16.8
72.60, 12.0
76.69, 10.3


For Li3AgTe2, a DFT-relaxed cell (PBE, Alexandria) gives the calculated X-ray diffraction stick pattern in this record (Cu Kα (weighted mean of Kα1 and Kα2)).
Kinematic intensities with the Lorentz-polarization factor, no thermal factor.

Structural model:
a = 8.1044 Å, b = 8.1044 Å, c = 8.1044 Å
α = 131.41°, β = 72.49°, γ = 129.74°
Sites, in units of the cell vectors:
Li 0.0229 0.7500 0.2729
Li 0.2500 0.2500 0.0000
Li 0.4771 0.7500 0.7271
Li 0.5229 0.2500 0.2729
Li 0.7500 0.7500 0.0000
Li 0.9771 0.2500 0.7271
Ag 0.0000 0.5000 0.5000
Ag 0.5000 0.0000 0.5000
Te 0.1387 0.2101 0.3488
Te 0.3613 0.7101 0.0714
Te 0.6387 0.2899 0.9286
Te 0.8613 0.7899 0.6512

Principal peaks in the range 10 to 80 degrees two-theta, low angle first:
2θ (°), I (rel.)
14.91, 11.6
23.02, 100.0
24.40, 18.9
25.89, 39.7
30.06, 15.0
35.87, 17.3
38.57, 25.2
43.98, 17.7
45.72, 17.2
47.04, 23.8


For LiAg5Te6, a DFT-relaxed cell (PBE, Alexandria) gives the calculated X-ray diffraction stick pattern in this record (Cu Kα (weighted mean of Kα1 and Kα2)).
Kinematic intensities with the Lorentz-polarization factor, no thermal factor.

Structural model:
a = 7.1534 Å, b = 7.1534 Å, c = 7.1548 Å
α = 99.68°, β = 99.68°, γ = 119.67°
Sites, in units of the cell vectors:
Li 0.0000 0.0000 0.0000
Ag 0.1694 0.8306 0.5000
Ag 0.3355 0.6645 0.0000
Ag 0.5000 0.5000 0.5000
Ag 0.6645 0.3355 0.0000
Ag 0.8306 0.1694 0.5000
Te 0.0855 0.4226 0.2444
Te 0.2500 0.2500 0.7376
Te 0.4226 0.0855 0.2444
Te 0.5774 0.9145 0.7556
Te 0.7500 0.7500 0.2624
Te 0.9145 0.5774 0.7556

Principal peaks in the range 10 to 80 degrees two-theta, low angle first:
2θ (°), I (rel.)
30.58, 100.0
43.72, 36.8
43.88, 36.2
54.15, 6.5
54.43, 18.7
63.52, 3.8
63.74, 7.7
72.04, 5.3
72.23, 15.7
72.44, 10.4


For LiAg3Te4, a DFT-relaxed cell (PBE, Alexandria) gives the calculated X-ray diffraction stick pattern in this record (Cu Kα (weighted mean of Kα1 and Kα2)).
Kinematic intensities with the Lorentz-polarization factor, no thermal factor.

Structural model:
a = 11.0529 Å, b = 4.9943 Å, c = 8.2547 Å
α = 90.00°, β = 90.00°, γ = 90.00°
Sites, in units of the cell vectors:
Li 0.0000 0.0589 0.0000
Li 0.5000 0.9411 0.5000
Ag 0.0000 0.5915 0.4869
Ag 0.2193 0.2422 0.5028
Ag 0.2807 0.7578 0.0028
Ag 0.5000 0.4085 0.9869
Ag 0.7193 0.7578 0.0028
Ag 0.7807 0.2422 0.5028
Te 0.0000 0.0798 0.3285
Te 0.0000 0.5735 0.8282
Te 0.2281 0.2585 0.8428
Te 0.2719 0.7415 0.3428
Te 0.5000 0.4265 0.3282
Te 0.5000 0.9202 0.8285
Te 0.7281 0.7415 0.3428
Te 0.7719 0.2585 0.8428

Principal peaks in the range 10 to 80 degrees two-theta, low angle first:
2θ (°), I (rel.)
13.39, 35.5
21.53, 72.1
22.31, 44.3
26.36, 80.6
32.41, 71.6
37.32, 25.1
38.22, 31.2
39.24, 25.1
39.60, 56.6
40.85, 100.0


For Li2Ag2Te7, a DFT-relaxed cell (PBE, Alexandria) gives the calculated X-ray diffraction stick pattern in this record (Cu Kα (weighted mean of Kα1 and Kα2)).
Kinematic intensities with the Lorentz-polarization factor, no thermal factor.

Structural model:
a = 6.5489 Å, b = 6.7260 Å, c = 8.3365 Å
α = 106.81°, β = 96.92°, γ = 92.23°
Sites, in units of the cell vectors:
Li 0.2146 0.2802 0.0397
Li 0.7854 0.7198 0.9603
Ag 0.1772 0.6499 0.3900
Ag 0.8228 0.3501 0.6100
Te 0.1047 0.6986 0.7304
Te 0.1650 0.9599 0.1963
Te 0.4594 0.3872 0.8125
Te 0.5000 0.0000 0.5000
Te 0.5406 0.6128 0.1875
Te 0.8350 0.0401 0.8037
Te 0.8953 0.3014 0.2696

Principal peaks in the range 10 to 80 degrees two-theta, low angle first:
2θ (°), I (rel.)
20.00, 100.0
20.21, 39.4
20.65, 59.8
22.50, 40.2
29.86, 78.3
34.09, 40.1
34.74, 47.1
37.94, 64.9
40.68, 62.3
41.79, 42.4


For Li8TlAg4, a DFT-relaxed cell (PBE, Alexandria) gives the calculated X-ray diffraction stick pattern in this record (Cu Kα (weighted mean of Kα1 and Kα2)).
Kinematic intensities with the Lorentz-polarization factor, no thermal factor.

Structural model:
a = 2.9946 Å, b = 4.6623 Å, c = 16.4663 Å
α = 90.00°, β = 90.00°, γ = 90.00°
Sites, in units of the cell vectors:
Li 0.0000 0.0000 0.0000
Li 0.0000 0.0000 0.2634
Li 0.0000 0.5000 0.1326
Li 0.0000 0.5000 0.4336
Li 0.5000 0.0000 0.4034
Li 0.5000 0.0000 0.6837
Li 0.5000 0.5000 0.5939
Li 0.5000 0.5000 0.9458
Tl 0.5000 0.0000 0.8484
Ag 0.0000 0.0000 0.5407
Ag 0.0000 0.5000 0.7480
Ag 0.5000 0.0000 0.1310
Ag 0.5000 0.5000 0.2899

Principal peaks in the range 10 to 80 degrees two-theta, low angle first:
2θ (°), I (rel.)
10.75, 64.7
16.15, 52.8
21.91, 38.3
25.06, 100.0
28.93, 54.4
36.06, 70.0
37.13, 30.7
38.62, 40.1
39.35, 56.9
42.06, 35.1


For Li4Tl5Ag2, a DFT-relaxed cell (PBE, Alexandria) gives the calculated X-ray diffraction stick pattern in this record (Cu Kα (weighted mean of Kα1 and Kα2)).
Kinematic intensities with the Lorentz-polarization factor, no thermal factor.

Structural model:
a = 9.9370 Å, b = 9.9370 Å, c = 7.0346 Å
α = 100.87°, β = 100.87°, γ = 21.22°
Sites, in units of the cell vectors:
Li 0.0264 0.0264 0.3195
Li 0.2770 0.2770 0.1983
Li 0.7230 0.7230 0.8017
Li 0.9736 0.9736 0.6805
Tl 0.1353 0.1353 0.9777
Tl 0.1743 0.1743 0.4506
Tl 0.5000 0.5000 0.0000
Tl 0.8257 0.8257 0.5494
Tl 0.8647 0.8647 0.0223
Ag 0.4278 0.4278 0.3839
Ag 0.5722 0.5722 0.6161

Principal peaks in the range 10 to 80 degrees two-theta, low angle first:
2θ (°), I (rel.)
17.21, 19.2
18.51, 18.5
25.81, 56.6
28.10, 100.0
34.39, 18.2
34.65, 27.7
36.58, 67.6
37.28, 33.0
37.98, 35.0
57.79, 18.1


For Li3Tl2Ag, a DFT-relaxed cell (PBE, Alexandria) gives the calculated X-ray diffraction stick pattern in this record (Cu Kα (weighted mean of Kα1 and Kα2)).
Kinematic intensities with the Lorentz-polarization factor, no thermal factor.

Structural model:
a = 3.3079 Å, b = 3.3079 Å, c = 10.5376 Å
α = 90.00°, β = 90.00°, γ = 90.00°
Sites, in units of the cell vectors:
Li 0.0000 0.0000 0.0000
Li 0.0000 0.0000 0.3580
Li 0.0000 0.0000 0.6420
Tl 0.5000 0.5000 0.1835
Tl 0.5000 0.5000 0.8165
Ag 0.5000 0.5000 0.5000

Principal peaks in the range 10 to 80 degrees two-theta, low angle first:
2θ (°), I (rel.)
25.36, 53.8
26.95, 100.0
37.34, 88.9
38.49, 44.4
46.65, 42.3
55.56, 15.3
59.60, 15.9
62.02, 18.1
62.81, 18.8
68.87, 29.7